Computed X-ray powder pattern
Compound: MgAu5
Radiation: CuKα
Structure: a structure optimized by DFT (GGA-PBE)
No peak broadening, texture or thermal motion is included.

Main lines, sorted by position (2θ = 10–90°):
d (Å)	2theta	I/Imax	index
4.827	18.38	4	0 0 1
4.407	20.15	9	1 0 0
3.255	27.40	11	1 0 1
2.544	35.27	25	1 1 0
2.413	37.26	27	0 0 2
2.251	40.06	100	1 1 1
1.751	52.24	17	1 1 2
1.469	63.31	17	3 0 0
1.360	69.07	20	1 1 3
1.255	75.81	21	3 0 2
1.230	77.61	15	2 2 1
1.090	89.99	5	1 1 4

Crystal structure
Cell: 5.0888 5.0888 4.8268 Å, 90.00 90.00 120.00°
Space group P-62m (No. 189)
Asymmetric unit:
Mg (0.0000, 0.0000, 0.0000) x1
Au (0.0000, 0.6712, 0.5000) x3
Au (0.3333, 0.6667, 0.0000) x2

---

Computed X-ray powder pattern
Compound: MgAu5
Radiation: CuKα
Structure: a structure optimized by DFT (GGA-PBE)
No peak broadening, texture or thermal motion is included.

Main lines, sorted by position (2θ = 10–90°):
d (Å)	2theta	I/Imax	index
4.822	18.40	4	0 0 3
4.211	21.10	9	1 0 1
3.760	23.66	8	0 1 2
2.541	35.32	25	1 1 0
2.411	37.30	27	0 0 6
2.248	40.11	100	1 1 3
1.749	52.30	18	1 1 6
1.467	63.40	17	3 0 0
1.358	69.16	20	1 1 9
1.253	75.92	21	3 0 6
1.229	77.73	15	2 2 3
1.124	86.60	5	2 2 6

Crystal structure
Cell: 5.0823 5.0823 14.4657 Å, 90.00 90.00 120.00°
Space group R32 (No. 155, hexagonal axes)
Asymmetric unit:
Mg (0.0000, 0.0000, 0.0000) x3
Au (0.0000, 0.0000, 0.3328) x6
Au (0.0000, 0.6662, 0.5000) x9

---

Computed X-ray powder pattern
Compound: MgAu3
Radiation: CuKα
Structure: a structure optimized by DFT (GGA-PBE)
No peak broadening, texture or thermal motion is included.

Main lines, sorted by position (2θ = 10–90°):
d (Å)	2theta	I/Imax	index
5.074	17.48	8	1 0 0
3.493	25.50	26	1 0 1
2.929	30.52	11	1 1 0
2.537	35.38	24	2 0 0
2.408	37.34	27	0 0 2
2.244	40.18	100	2 0 1
1.782	51.28	7	2 1 1
1.746	52.39	16	2 0 2
1.465	63.52	18	2 2 0
1.357	69.26	20	2 0 3
1.251	76.06	21	2 2 2
1.227	77.88	15	4 0 1

Crystal structure
Cell: 5.8586 5.8586 4.8159 Å, 90.00 90.00 120.00°
Space group P6_3/mmc (No. 194)
Asymmetric unit:
Mg (0.3333, 0.6667, 0.2500) x2
Au (0.1682, 0.3365, 0.7500) x6

---

Computed X-ray powder pattern
Compound: MgAuN
Radiation: CuKα
Structure: a structure optimized by DFT (GGA-PBE)
No peak broadening, texture or thermal motion is included.

Main lines, sorted by position (2θ = 10–90°):
d (Å)	2theta	I/Imax	index
5.075	17.48	94	2 0 0
4.740	18.72	100	1 0 1
3.685	24.15	81	2 0 1
2.757	32.47	58	0 1 1
2.716	32.98	70	2 1 0
2.423	37.11	76	2 1 1
2.293	39.29	58	4 0 1
2.137	42.29	37	3 1 1
2.101	43.06	44	3 0 2
2.018	44.93	97	1 1 2
1.992	45.54	44	4 1 0
1.418	65.87	28	3 1 3

Crystal structure
Cell: 10.149 3.215 5.360 Å, 90.00 90.00 90.00°
Space group Pnma (No. 62)
Asymmetric unit:
Mg (0.174, 0.250, 0.130) x4
Au (0.063, 0.250, 0.653) x4
N (0.165, 0.750, 0.875) x4

---

Computed X-ray powder pattern
Compound: NdMgAu
Radiation: CuKα
Structure: a structure optimized by DFT (GGA-PBE)
No peak broadening, texture or thermal motion is included.

Main lines, sorted by position (2θ = 10–90°):
d (Å)	2theta	I/Imax	index
3.910	22.74	59	1 1 0
3.555	25.05	33	1 0 1
2.854	31.34	63	1 1 1
2.630	34.09	100	2 0 1
2.258	39.94	44	3 0 0
2.183	41.37	42	2 1 1
2.088	43.33	22	0 0 2
1.955	46.45	17	2 2 0
1.713	53.49	17	3 1 1
1.533	60.38	26	3 0 2
1.456	63.93	29	3 2 1
1.288	73.52	25	5 0 1

Crystal structure
Cell: 7.8202 7.8202 4.1767 Å, 90.00 90.00 120.00°
Space group P-62m (No. 189)
Asymmetric unit:
Nd (0.0000, 0.5905, 0.0000) x3
Mg (0.0000, 0.2448, 0.5000) x3
Au (0.0000, 0.0000, 0.0000) x1
Au (0.3333, 0.6667, 0.5000) x2

---

Computed X-ray powder pattern
Compound: MgAuO2
Radiation: CuKα
Structure: a structure optimized by DFT (GGA-PBE)
No peak broadening, texture or thermal motion is included.

Main lines, sorted by position (2θ = 10–90°):
d (Å)	2theta	I/Imax	index
5.662	15.65	100	0 2 0
3.082	28.97	28	0 0 1
2.874	31.12	34	2 0 0
2.831	31.60	33	0 4 0
2.707	33.09	61	0 2 1
2.563	35.01	54	2 2 0
2.102	43.03	33	2 0 1
2.085	43.40	23	0 4 1
1.971	46.06	29	2 2 1
1.688	54.36	38	2 4 1
1.610	57.23	16	0 6 1
1.270	74.78	16	4 2 1

Crystal structure
Cell: 5.749 11.325 3.082 Å, 90.00 90.00 90.00°
Space group Cmmm (No. 65)
Asymmetric unit:
Mg (0.250, 0.250, 0.000) x4
Au (0.000, 0.000, 0.500) x2
Au (0.000, 0.500, 0.500) x2
O (0.000, 0.119, 0.000) x4
O (0.000, 0.312, 0.500) x4

---

Computed X-ray powder pattern
Compound: MgAu2S4O16
Radiation: CuKα
Structure: a structure optimized by DFT (GGA-PBE)
No peak broadening, texture or thermal motion is included.

Main lines, sorted by position (2θ = 10–90°):
d (Å)	2theta	I/Imax	index
7.670	11.54	100	1 1 1
4.750	18.68	52	1 3 1
4.278	20.77	69	0 4 0
3.835	23.19	27	2 2 2
3.683	24.17	17	4 0 0
3.383	26.35	29	4 2 0
3.356	26.56	32	1 1 3
3.179	28.07	19	1 5 1
2.934	30.46	33	1 3 3
2.799	31.97	22	5 1 1
2.791	32.07	17	4 4 0
2.375	37.88	16	2 6 2

Crystal structure
Cell: 14.731 17.110 10.555 Å, 90.00 90.00 90.00°
Space group Fdd2 (No. 43)
Asymmetric unit:
Mg (0.000, 0.000, 0.000) x8
Au (0.094, 0.378, 0.950) x16
S (0.056, 0.372, 0.239) x16
S (0.112, 0.119, 0.406) x16
O (0.029, 0.173, 0.428) x16
O (0.030, 0.177, 0.722) x16
O (0.049, 0.425, 0.347) x16
O (0.064, 0.422, 0.627) x16
O (0.066, 0.426, 0.123) x16
O (0.093, 0.057, 0.318) x16
O (0.121, 0.065, 0.994) x16
O (0.121, 0.326, 0.783) x16

---

Computed X-ray powder pattern
Compound: MgV2Au2S4
Radiation: CuKα
Structure: a structure optimized by DFT (GGA-PBE)
No peak broadening, texture or thermal motion is included.

Main lines, sorted by position (2θ = 10–90°):
d (Å)	2theta	I/Imax	index
8.468	10.45	91	0 0 2
4.234	20.98	46	0 0 4
2.809	31.86	95	1 0 0
2.666	33.62	100	0 1 2
2.515	35.71	24	1 0 3
2.340	38.46	42	1 0 4
2.162	41.78	22	0 1 5
1.991	45.56	42	0 1 6
1.833	49.74	48	1 0 7
1.622	56.77	35	1 1 0
1.405	66.56	18	2 0 0
1.228	77.74	17	1 1 9

Crystal structure
Cell: 3.2431 3.2431 16.9358 Å, 90.00 90.00 120.00°
Space group P3m1 (No. 156)
Asymmetric unit:
Mg (0.0000, 0.0000, 0.0000) x1
V (0.0000, 0.0000, 0.7928) x1
V (0.3333, 0.6667, 0.3460) x1
Au (0.6667, 0.3333, 0.1132) x1
Au (0.6667, 0.3333, 0.5688) x1
S (0.6667, 0.3333, 0.2614) x1
S (0.6667, 0.3333, 0.4297) x1
S (0.6667, 0.3333, 0.7085) x1
S (0.6667, 0.3333, 0.8800) x1